The following is a computed X-ray powder pattern of K2NaO2. It was derived from a crystal structure in Alexandria, relaxed with GGA-PBE, using Cu Kα, 1.54184 Å.
No peak broadening, texture or thermal motion is included.

Top 10 peaks for 2θ from 15° to 90°, low angle first:
hkl 1 0 0, 19.4 deg, d = 4.568 Å, rel. 100; hkl 0 0 3, 19.7 deg, d = 4.507 Å, rel. 12; hkl 1 1 0, 27.6 deg, d = 3.230 Å, rel. 40; hkl 1 0 3, 27.8 deg, d = 3.208 Å, rel. 20; hkl 1 1 3, 34.2 deg, d = 2.625 Å, rel. 12; hkl 2 0 0, 39.5 deg, d = 2.284 Å, rel. 14; hkl 2 1 0, 44.3 deg, d = 2.043 Å, rel. 19; hkl 1 0 6, 44.9 deg, d = 2.021 Å, rel. 18; hkl 1 1 6, 49.3 deg, d = 1.848 Å, rel. 13; hkl 2 1 6, 61.2 deg, d = 1.513 Å, rel. 12

Structural model:
```
K2NaO2
1.0
4.568 0.000 0.000
0.000 4.568 0.000
0.000 0.000 13.520
K Na O
2 1 2
direct
0.000 0.000 0.168
0.000 0.000 0.832
0.000 0.000 0.500
0.000 0.000 0.340
0.000 0.000 0.660
```